Starting from the GGA-PBE geometry in Alexandria, the powder diffraction line list of Li15Ge4 was computed for a wavelength of 1.5418 Å.

Structure:
```
data_Li15Ge4
_chemical_formula_sum 'Li60 Ge16'
_cell_length_a 10.6917
_cell_length_b 10.6917
_cell_length_c 10.6917
_cell_angle_alpha 90.00
_cell_angle_beta 90.00
_cell_angle_gamma 90.00
_space_group_name_H-M_alt 'I -4 3 d'
_space_group_IT_number 220
_space_group_name_Hall 'I -4bd 2c 3'
loop_
_atom_site_label
_atom_site_type_symbol
_atom_site_fract_x
_atom_site_fract_y
_atom_site_fract_z
Li1 Li 0.0000 0.2500 0.8750
Li2 Li 0.0369 0.1224 0.6540
Ge1 Ge 0.0422 0.0422 0.0422
```

Most intense lines, 2θ = 10–90°, low angle first:
| d_spacing | Rel. int. |
| --- | --- |
| 4.365 | 350 |
| 3.780 | 1000 |
| 3.381 | 488 |
| 2.857 | 178 |
| 2.279 | 392 |
| 2.182 | 203 |
| 2.097 | 522 |
| 1.952 | 306 |